CaU2S5: simulated XRD peak list (Cu Kα (weighted mean of Kα1 and Kα2)), based on a GGA-PBE-relaxed structure.
Lines closer than 0.1° are merged.

Top 10 peaks for 15 to 90 degrees two-theta, by intensity:
| 2θ/deg | I_rel |
| --- | --- |
| 34.58 | 100 |
| 25.65 | 84 |
| 37.02 | 62 |
| 24.45 | 51 |
| 22.80 | 45 |
| 33.67 | 44 |
| 27.37 | 42 |
| 46.54 | 39 |
| 49.91 | 33 |
| 43.77 | 30 |

Crystal structure
```
CaU2S5
1.0
11.851 0.000 0.000
0.000 7.802 0.000
0.000 0.000 7.282
Ca U S
4 8 20
Direct
0.007 0.250 0.072
0.493 0.750 0.572
0.507 0.250 0.428
0.993 0.750 0.928
0.181 0.001 0.512
0.181 0.499 0.512
0.319 0.501 0.012
0.319 0.999 0.012
0.681 0.001 0.988
0.681 0.499 0.988
0.819 0.501 0.488
0.819 0.999 0.488
0.003 0.250 0.476
0.113 0.542 0.167
0.113 0.958 0.167
0.187 0.250 0.823
0.213 0.750 0.795
0.287 0.250 0.295
0.313 0.750 0.323
0.387 0.042 0.667
0.387 0.458 0.667
0.497 0.750 0.976
0.503 0.250 0.024
0.613 0.542 0.333
0.613 0.958 0.333
0.687 0.250 0.677
0.713 0.750 0.705
0.787 0.250 0.205
0.813 0.750 0.177
0.887 0.042 0.833
0.887 0.458 0.833
0.997 0.750 0.524
```

=====

Ti8Cu3S16: simulated XRD peak list (Cu Kα (weighted mean of Kα1 and Kα2)), based on a GGA-PBE-relaxed structure.
Lines closer than 0.1° are merged.

Top 10 peaks for 15 to 90 degrees two-theta, by intensity:
| 2θ/deg | I_rel |
| --- | --- |
| 43.53 | 100 |
| 34.02 | 69 |
| 53.82 | 44 |
| 18.05 | 24 |
| 30.29 | 21 |
| 87.90 | 20 |
| 71.61 | 20 |
| 15.11 | 16 |
| 56.50 | 14 |
| 28.17 | 10 |

Crystal structure
```
Ti8Cu3S16
1.0
5.860 -6.817 0.000
5.860 6.817 0.000
-0.002 0.000 5.899
Ti Cu S
8 3 16
Direct
0.000 0.500 0.500
0.120 0.371 0.000
0.252 0.252 0.507
0.371 0.120 0.000
0.500 0.000 0.500
0.629 0.880 0.000
0.748 0.748 0.493
0.880 0.629 0.000
0.000 0.000 0.500
0.371 0.629 0.000
0.629 0.371 0.000
0.002 0.252 0.335
0.124 0.124 0.836
0.124 0.623 0.168
0.248 0.499 0.667
0.252 0.002 0.335
0.373 0.373 0.169
0.377 0.876 0.832
0.499 0.248 0.667
0.501 0.752 0.333
0.623 0.124 0.168
0.627 0.627 0.831
0.748 0.998 0.665
0.752 0.501 0.333
0.876 0.377 0.832
0.876 0.876 0.164
0.998 0.748 0.665
```